No. 1
Structure and simulated powder diffractogram of Sm3S4 (a structure optimized by DFT (PBE); a wavelength of 1.5418 Å).

Cell and atoms:
Unit cell a=7.3423 b=7.3423 c=7.3423 alpha=109.47 beta=109.47 gamma=109.47
Fractional positions:
1 Sm 0.1250 0.7500 0.8750
2 Sm 0.2500 0.6250 0.3750
3 Sm 0.3750 0.2500 0.6250
4 Sm 0.6250 0.3750 0.2500
5 Sm 0.7500 0.8750 0.1250
6 Sm 0.8750 0.1250 0.7500
7 S 0.0000 0.3529 0.5000
8 S 0.0000 0.8529 0.5000
9 S 0.1471 0.1471 0.1471
10 S 0.3529 0.5000 0.0000
11 S 0.5000 0.0000 0.3529
12 S 0.5000 0.0000 0.8529
13 S 0.6471 0.6471 0.6471
14 S 0.8529 0.5000 0.0000

The 10 most intense peaks (2θ = 10–90°), low angle first:
2θ (°), I_rel
25.7, 100.0
33.4, 90.4
39.8, 55.2
48.0, 38.8
50.5, 25.1
55.2, 30.3
68.2, 35.4
72.2, 14.0
81.9, 8.2
83.9, 26.1



No. 2
Structure and simulated powder diffractogram of Sm2SnS5 (a structure optimized by DFT (PBE); a wavelength of 1.5418 Å).

Cell and atoms:
Unit cell a=7.8491 b=11.4818 c=3.8836 alpha=90.00 beta=90.00 gamma=90.00
Fractional positions:
1 Sm 0.0337 0.1728 0.0000
2 Sm 0.4663 0.6728 0.0000
3 Sm 0.5337 0.3272 0.0000
4 Sm 0.9663 0.8272 0.0000
5 Sn 0.0000 0.5000 0.5000
6 Sn 0.5000 0.0000 0.5000
7 S 0.0000 0.0000 0.5000
8 S 0.1710 0.4066 0.0000
9 S 0.1730 0.6950 0.5000
10 S 0.3270 0.1950 0.5000
11 S 0.3290 0.9066 0.0000
12 S 0.5000 0.5000 0.5000
13 S 0.6710 0.0934 0.0000
14 S 0.6730 0.8050 0.5000
15 S 0.8270 0.3050 0.5000
16 S 0.8290 0.5934 0.0000

The 10 most intense peaks (2θ = 10–90°), low angle first:
2θ (°), I_rel
22.7, 72.5
25.9, 100.0
26.8, 66.7
27.7, 43.0
33.4, 32.4
34.8, 39.0
36.1, 88.4
39.0, 29.6
41.8, 37.4
47.5, 53.1



No. 3
Structure and simulated powder diffractogram of SrSm2S4 (a structure optimized by DFT (PBE); a wavelength of 1.5418 Å).

Cell and atoms:
Unit cell a=7.4712 b=7.4712 c=7.4712 alpha=109.41 beta=109.41 gamma=109.60
Fractional positions:
1 Sr 0.0000 0.0000 0.0000
2 Sr 0.7500 0.2500 0.5000
3 Sm 0.2490 0.1250 0.6240
4 Sm 0.3750 0.7510 0.8760
5 Sm 0.5010 0.6250 0.3760
6 Sm 0.8750 0.4990 0.1240
7 S 0.1357 0.3877 0.4028
8 S 0.1377 0.3857 0.9028
9 S 0.2671 0.8643 0.2520
10 S 0.4829 0.2348 0.0972
11 S 0.6123 0.0152 0.7480
12 S 0.6143 0.5171 0.7520
13 S 0.7652 0.8623 0.2480
14 S 0.9848 0.7329 0.5972

The 10 most intense peaks (2θ = 10–90°), low angle first:
2θ (°), I_rel
25.3, 97.7
32.8, 100.0
39.1, 64.0
47.1, 40.1
49.6, 26.6
54.2, 30.0
66.8, 25.6
66.9, 12.4
70.8, 10.2
82.0, 15.7



No. 4
Structure and simulated powder diffractogram of Tb2SmS4 (a structure optimized by DFT (PBE); a wavelength of 1.5418 Å).

Cell and atoms:
Unit cell a=7.2565 b=7.2565 c=7.2565 alpha=109.34 beta=109.34 gamma=109.73
Fractional positions:
1 Tb 0.0008 0.1250 0.3758
2 Tb 0.3750 0.9992 0.1242
3 Tb 0.7492 0.6250 0.6242
4 Tb 0.8750 0.2508 0.8758
5 Sm 0.2500 0.7500 0.5000
6 Sm 0.5000 0.5000 0.0000
7 S 0.1209 0.5191 0.7485
8 S 0.1224 0.0206 0.7515
9 S 0.2691 0.3709 0.2485
10 S 0.4809 0.2294 0.6018
11 S 0.6276 0.8791 0.3982
12 S 0.6291 0.8776 0.8982
13 S 0.7706 0.3724 0.2515
14 S 0.9794 0.7309 0.1018

The 10 most intense peaks (2θ = 10–90°), low angle first:
2θ (°), I_rel
26.0, 100.0
33.8, 58.8
33.9, 28.6
40.2, 35.1
40.3, 17.8
48.5, 25.4
51.1, 24.5
55.9, 19.7
69.0, 22.9
85.0, 15.2



No. 5
Structure and simulated powder diffractogram of Sm3TmS4 (a structure optimized by DFT (PBE); a wavelength of 1.5418 Å).

Cell and atoms:
Unit cell a=3.9793 b=5.6300 c=7.9250 alpha=90.00 beta=90.00 gamma=90.00
Fractional positions:
1 Sm 0.0000 0.0000 0.0000
2 Sm 0.5000 0.5000 0.2448
3 Sm 0.5000 0.5000 0.7552
4 Tm 0.0000 0.0000 0.5000
5 S 0.0000 0.5000 0.0000
6 S 0.0000 0.5000 0.5000
7 S 0.5000 0.0000 0.2631
8 S 0.5000 0.0000 0.7369

The 10 most intense peaks (2θ = 10–90°), low angle first:
2θ (°), I_rel
27.5, 79.4
31.8, 100.0
45.6, 60.3
45.8, 11.8
54.1, 26.1
54.2, 13.0
56.7, 12.6
56.8, 12.3
75.6, 16.1
84.3, 12.3



No. 6
Structure and simulated powder diffractogram of Sm4Tm11S22 (a structure optimized by DFT (PBE); a wavelength of 1.5418 Å).

Cell and atoms:
Unit cell a=19.4949 b=19.4949 c=11.2692 alpha=91.40 beta=91.40 gamma=11.50
Fractional positions:
1 Sm 0.1049 0.1049 0.0117
2 Sm 0.3671 0.3671 0.3480
3 Sm 0.6329 0.6329 0.6520
4 Sm 0.8951 0.8951 0.9883
5 Tm 0.0000 0.0000 0.0000
6 Tm 0.0699 0.0699 0.3597
7 Tm 0.2020 0.2020 0.9415
8 Tm 0.2639 0.2639 0.3524
9 Tm 0.3425 0.3425 0.6984
10 Tm 0.4613 0.4613 0.2705
11 Tm 0.5387 0.5387 0.7295
12 Tm 0.6575 0.6575 0.3016
13 Tm 0.7361 0.7361 0.6476
14 Tm 0.7980 0.7980 0.0585
15 Tm 0.9301 0.9301 0.6403
16 S 0.0078 0.0078 0.2394
17 S 0.0884 0.0884 0.7537
18 S 0.1350 0.1350 0.4547
19 S 0.1684 0.1684 0.1500
20 S 0.1884 0.1884 0.6911
21 S 0.2548 0.2548 0.1196
22 S 0.2803 0.2803 0.5897
23 S 0.3508 0.3508 0.0932
24 S 0.4072 0.4072 0.7895
25 S 0.4446 0.4446 0.4933
26 S 0.4525 0.4525 0.0306
27 S 0.5475 0.5475 0.9694
28 S 0.5554 0.5554 0.5067
29 S 0.5928 0.5928 0.2105
30 S 0.6492 0.6492 0.9068
31 S 0.7197 0.7197 0.4103
32 S 0.7452 0.7452 0.8804
33 S 0.8116 0.8116 0.3089
34 S 0.8316 0.8316 0.8500
35 S 0.8650 0.8650 0.5453
36 S 0.9116 0.9116 0.2463
37 S 0.9922 0.9922 0.7606

The 10 most intense peaks (2θ = 10–90°), low angle first:
2θ (°), I_rel
23.7, 80.8
24.5, 100.0
25.2, 37.7
26.7, 57.5
27.6, 49.0
27.9, 62.1
31.8, 62.6
34.3, 56.7
42.5, 55.2
46.5, 49.8



No. 7
Structure and simulated powder diffractogram of SmTmS2 (a structure optimized by DFT (PBE); a wavelength of 1.5418 Å).

Cell and atoms:
Unit cell a=6.9419 b=6.9419 c=6.9419 alpha=32.41 beta=32.41 gamma=32.41
Fractional positions:
1 Sm 0.0000 0.0000 0.0000
2 Tm 0.5000 0.5000 0.5000
3 S 0.2441 0.2441 0.2441
4 S 0.7559 0.7559 0.7559

The 10 most intense peaks (2θ = 10–90°), low angle first:
2θ (°), I_rel
27.1, 22.1
28.1, 60.2
32.3, 100.0
45.7, 37.1
46.9, 34.8
55.0, 20.1
58.1, 18.2
75.9, 16.1
77.8, 15.6
86.3, 12.2



No. 8
Structure and simulated powder diffractogram of SmYS2 (a structure optimized by DFT (PBE); a wavelength of 1.5418 Å).

Cell and atoms:
Unit cell a=6.9578 b=6.9578 c=6.9578 alpha=32.82 beta=32.82 gamma=32.82
Fractional positions:
1 Sm 0.0000 0.0000 0.0000
2 Y 0.5000 0.5000 0.5000
3 S 0.2465 0.2465 0.2465
4 S 0.7535 0.7535 0.7535

The 10 most intense peaks (2θ = 10–90°), low angle first:
2θ (°), I_rel
27.1, 16.1
27.7, 45.4
31.9, 100.0
45.4, 36.2
46.2, 34.7
54.4, 14.9
57.3, 18.0
75.4, 15.6
76.5, 15.2
85.0, 11.7